Theoretical XRD peak list of MgAlZn11 for Cu Kα, 1.54184 Å, from a crystal structure in Alexandria, relaxed with PBE.
Intensities are scaled so that the largest is 100.

Cell and atoms:
Unit cell a=6.7465 b=6.7465 c=6.7970 alpha=99.09 beta=99.09 gamma=132.83
Sites, in units of the cell vectors:
Mg1 0.0000 0.0000 0.0000
Al1 0.5000 0.5000 0.5000
Zn1 0.0000 0.0000 0.5000
Zn2 0.0000 0.5000 0.0000
Zn3 0.0040 0.6535 0.6522
Zn4 0.2788 0.4991 0.7825
Zn5 0.3465 0.9960 0.3478
Zn6 0.4991 0.2788 0.7825
Zn7 0.5000 0.0000 0.0000
Zn8 0.5009 0.7212 0.2175
Zn9 0.6535 0.0040 0.6522
Zn10 0.7212 0.5009 0.2175
Zn11 0.9960 0.3465 0.3478

Peak list (10 most intense, 5° ≤ 2θ ≤ 70°, sorted by position)
Position (°2θ)  Rel. int.
19.31  41
34.86  60
39.17  100
40.44  70
40.77  70
41.09  90
44.30  43
44.56  79
45.68  42
45.86  42

Theoretical XRD peak list of Mg4AlZn11 for Cu Kα, 1.54184 Å, from a crystal structure in Alexandria, relaxed with PBE.
Intensities are scaled so that the largest is 100.

Cell and atoms:
Unit cell a=5.1531 b=5.1531 c=12.2534 alpha=90.00 beta=90.00 gamma=120.00
Sites, in units of the cell vectors:
Mg1 0.0000 0.0000 0.1138
Mg2 0.0000 0.0000 0.8862
Mg3 0.6667 0.3333 0.1667
Mg4 0.6667 0.3333 0.8333
Al1 0.3333 0.6667 0.5000
Zn1 0.0000 0.0000 0.5000
Zn2 0.1672 0.3345 0.3078
Zn3 0.1672 0.3345 0.6922
Zn4 0.1672 0.8328 0.3078
Zn5 0.1672 0.8328 0.6922
Zn6 0.3333 0.6667 0.1073
Zn7 0.3333 0.6667 0.8927
Zn8 0.6655 0.8328 0.3078
Zn9 0.6655 0.8328 0.6922
Zn10 0.6667 0.3333 0.3986
Zn11 0.6667 0.3333 0.6014

Peak list (10 most intense, 5° ≤ 2θ ≤ 70°, sorted by position)
Position (°2θ)  Rel. int.
7.21  100
34.82  27
37.88  25
40.42  35
41.12  24
41.44  29
42.06  55
43.15  35
46.37  45
67.40  25

Theoretical XRD peak list of Mg3Al2Zn9 for Cu Kα, 1.54184 Å, from a crystal structure in Alexandria, relaxed with PBE.
Intensities are scaled so that the largest is 100.

Cell and atoms:
Unit cell a=7.8579 b=7.8579 c=7.8579 alpha=149.25 beta=101.14 gamma=86.99
Sites, in units of the cell vectors:
Mg1 0.0000 0.0000 0.0000
Mg2 0.2745 0.2745 0.0000
Mg3 0.7255 0.7255 0.0000
Al1 0.3427 0.5000 0.8427
Al2 0.6573 0.5000 0.1573
Zn1 0.0026 0.6288 0.3739
Zn2 0.1268 0.8451 0.2817
Zn3 0.2549 0.6288 0.6261
Zn4 0.4365 0.1549 0.2817
Zn5 0.5000 0.0000 0.5000
Zn6 0.5635 0.8451 0.7183
Zn7 0.7451 0.3712 0.3739
Zn8 0.8732 0.1549 0.7183
Zn9 0.9974 0.3712 0.6261

Peak list (10 most intense, 5° ≤ 2θ ≤ 70°, sorted by position)
Position (°2θ)  Rel. int.
23.13  51
31.38  22
34.49  39
36.30  33
36.72  100
38.04  27
39.35  38
42.98  77
43.43  59
47.32  47

Theoretical XRD peak list of MgZr2Al for Cu Kα, 1.54184 Å, from a crystal structure in Alexandria, relaxed with PBE.
Intensities are scaled so that the largest is 100.

Cell and atoms:
Unit cell a=3.1741 b=4.2899 c=6.2381 alpha=90.00 beta=90.00 gamma=90.00
Sites, in units of the cell vectors:
Mg1 0.0000 0.0000 0.0000
Zr1 0.0000 0.0000 0.5095
Zr2 0.5000 0.5000 0.2633
Al1 0.5000 0.5000 0.7503

Peak list (10 most intense, 5° ≤ 2θ ≤ 70°, sorted by position)
Position (°2θ)  Rel. int.
14.20  74
25.19  36
31.63  20
35.17  100
35.59  96
38.10  26
40.55  66
42.13  30
58.12  11
59.90  41

Theoretical XRD peak list of MnAl for Cu Kα, 1.54184 Å, from a crystal structure in Alexandria, relaxed with PBE.
Intensities are scaled so that the largest is 100.

Cell and atoms:
Unit cell a=2.7557 b=2.7557 c=3.4673 alpha=90.00 beta=90.00 gamma=90.00
Sites, in units of the cell vectors:
Mn1 0.0000 0.0000 0.0000
Al1 0.5000 0.5000 0.5000

Peak list (8 most intense, 5° ≤ 2θ ≤ 70°, sorted by position)
Position (°2θ)  Rel. int.
25.69  12
32.49  13
41.87  100
46.61  36
52.81  12
53.98  5
63.39  3
68.04  11

Theoretical XRD peak list of Mn4Al11 for Cu Kα, 1.54184 Å, from a crystal structure in Alexandria, relaxed with PBE.
Intensities are scaled so that the largest is 100.

Cell and atoms:
Unit cell a=5.0254 b=5.0453 c=8.7702 alpha=105.31 beta=90.10 gamma=100.41
Sites, in units of the cell vectors:
Mn1 0.1645 0.1109 0.3667
Mn2 0.2143 0.3503 0.9013
Mn3 0.7857 0.6497 0.0987
Mn4 0.8355 0.8891 0.6333
Al1 0.0063 0.6077 0.3749
Al2 0.0673 0.8284 0.8740
Al3 0.3006 0.7692 0.1326
Al4 0.3449 0.0309 0.6267
Al5 0.4484 0.3189 0.1749
Al6 0.5000 0.5000 0.5000
Al7 0.5516 0.6811 0.8251
Al8 0.6551 0.9691 0.3733
Al9 0.6994 0.2308 0.8674
Al10 0.9327 0.1716 0.1260
Al11 0.9937 0.3923 0.6251

Peak list (10 most intense, 5° ≤ 2θ ≤ 70°, sorted by position)
Position (°2θ)  Rel. int.
23.35  48
41.39  85
41.93  100
41.96  64
42.53  71
42.64  70
42.82  86
43.68  63
43.94  63
45.23  48

Theoretical XRD peak list of MnAl6 for Cu Kα, 1.54184 Å, from a crystal structure in Alexandria, relaxed with PBE.
Intensities are scaled so that the largest is 100.

Cell and atoms:
Unit cell a=4.9634 b=4.9634 c=8.8167 alpha=90.00 beta=90.00 gamma=81.14
Sites, in units of the cell vectors:
Mn1 0.0431 0.9569 0.7500
Mn2 0.9569 0.0431 0.2500
Al1 0.1031 0.5315 0.2500
Al2 0.1733 0.1733 0.0000
Al3 0.1733 0.1733 0.5000
Al4 0.3598 0.6402 0.6004
Al5 0.3598 0.6402 0.8996
Al6 0.4685 0.8969 0.2500
Al7 0.5315 0.1031 0.7500
Al8 0.6402 0.3598 0.1004
Al9 0.6402 0.3598 0.3996
Al10 0.8267 0.8267 0.0000
Al11 0.8267 0.8267 0.5000
Al12 0.8969 0.4685 0.7500

Peak list (10 most intense, 5° ≤ 2θ ≤ 70°, sorted by position)
Position (°2θ)  Rel. int.
18.09  34
27.20  19
39.82  44
40.94  18
41.55  25
42.17  59
43.76  100
44.99  20
45.10  39
48.32  17

Theoretical XRD peak list of Mn3Al2 for Cu Kα, 1.54184 Å, from a crystal structure in Alexandria, relaxed with PBE.
Intensities are scaled so that the largest is 100.

Cell and atoms:
Unit cell a=6.6415 b=4.9993 c=7.6146 alpha=59.30 beta=40.34 gamma=80.36
Sites, in units of the cell vectors:
Mn1 0.0000 0.0000 0.0000
Mn2 0.2500 0.2500 0.2500
Mn3 0.4105 0.7089 0.3861
Mn4 0.7089 0.4105 0.4945
Mn5 0.7555 0.8639 0.5411
Mn6 0.8639 0.7555 0.8395
Al1 0.1678 0.4910 0.9353
Al2 0.3147 0.8441 0.0822
Al3 0.4910 0.1678 0.4059
Al4 0.8441 0.3147 0.7590

Peak list (10 most intense, 5° ≤ 2θ ≤ 70°, sorted by position)
Position (°2θ)  Rel. int.
22.55  9
24.77  14
30.47  9
40.94  21
42.37  100
43.54  72
46.04  14
51.96  23
60.32  8
64.26  5